# TbHo5Rh4
Simulated powder X-ray diffraction pattern, CuKα. Input: the PBE geometry in Alexandria.

```
data_TbHo5Rh4
_chemical_formula_sum 'Tb2 Ho10 Rh8'
_symmetry_space_group_name_H-M 'I m m m'
_symmetry_Int_Tables_number 71
_symmetry_space_group_name_Hall '-I 2 2'
_cell_length_a 4.231
_cell_length_b 7.273
_cell_length_c 16.375
_cell_angle_alpha 90.00
_cell_angle_beta 90.00
_cell_angle_gamma 90.00
loop_
_atom_site_label
_atom_site_fract_x
_atom_site_fract_y
_atom_site_fract_z
Tb1 0.000 0.000 0.000
Ho1 0.000 0.256 0.335
Ho2 0.000 0.500 0.000
Rh1 0.000 0.000 0.199
Rh2 0.000 0.239 0.500
```

Most intense lines, 2θ = 15–90°, low angle first:
2θ 26.7, rel. 33; 2θ 32.8, rel. 41; 2θ 32.9, rel. 100; 2θ 42.7, rel. 24; 2θ 42.9, rel. 53; 2θ 54.9, rel. 33